No. 1
# Zn2SnWO6
Computed XRD peak list, Cu Kα (weighted mean of Kα1 and Kα2). Input: a GGA+U-relaxed structure.
No peak broadening, texture or thermal motion is included.

Atomic structure:
```
data_Zn2SnWO6
_chemical_formula_sum 'Zn4 Sn2 W2 O12'
_cell_length_a 5.5368
_cell_length_b 5.4983
_cell_length_c 9.7647
_cell_angle_alpha 90.00
_cell_angle_beta 121.15
_cell_angle_gamma 90.00
_symmetry_space_group_name_H-M 'P 1'
_symmetry_Int_Tables_number 1
loop_
_symmetry_equiv_pos_as_xyz
'x,y,z'
loop_
_atom_site_label
_atom_site_type_symbol
_atom_site_fract_x
_atom_site_fract_y
_atom_site_fract_z
Zn1 Zn 0.2051 0.0166 0.2401
Zn2 Zn 0.2051 0.4834 0.7401
Zn3 Zn 0.7949 0.5166 0.2599
Zn4 Zn 0.7949 0.9834 0.7599
Sn1 Sn 0.0000 0.0000 0.5000
Sn2 Sn 0.0000 0.5000 0.0000
W1 W 0.5000 0.0000 0.0000
W2 W 0.5000 0.5000 0.5000
O1 O 0.1667 0.1313 0.7899
O2 O 0.1667 0.3687 0.2899
O3 O 0.2443 0.6258 0.5626
O4 O 0.2443 0.8742 0.0626
O5 O 0.4989 0.6955 0.9033
O6 O 0.4989 0.8045 0.4033
O7 O 0.5011 0.1955 0.5967
O8 O 0.5011 0.3045 0.0967
O9 O 0.7557 0.1258 0.9374
O10 O 0.7557 0.3742 0.4374
O11 O 0.8333 0.6313 0.7101
O12 O 0.8333 0.8687 0.2101
```

Principal peaks in the range 5° ≤ 2θ ≤ 70°, low angle first:
2θ/deg	d/Å	I/Imax
22.81	3.898	31
30.72	2.910	100
32.04	2.794	92
32.39	2.764	46
32.57	2.749	43
43.31	2.089	22
46.60	1.949	33
55.22	1.663	23
56.97	1.617	22
58.37	1.581	23

No. 2
# LiCoGeO4
Computed XRD peak list, Cu Kα (weighted mean of Kα1 and Kα2). Input: a GGA+U-relaxed structure.
No peak broadening, texture or thermal motion is included.

Atomic structure:
```
data_LiCoGeO4
_chemical_formula_sum 'Li2 Co2 Ge2 O8'
_cell_length_a 5.1182
_cell_length_b 5.7161
_cell_length_c 8.0547
_cell_angle_alpha 90.00
_cell_angle_beta 129.38
_cell_angle_gamma 90.00
_symmetry_space_group_name_H-M 'P 1'
_symmetry_Int_Tables_number 1
loop_
_symmetry_equiv_pos_as_xyz
'x,y,z'
loop_
_atom_site_label
_atom_site_type_symbol
_atom_site_fract_x
_atom_site_fract_y
_atom_site_fract_z
Li1 Li 0.0000 0.1607 0.0000
Li2 Li 0.0000 0.8393 0.5000
Co1 Co 0.2455 0.3278 0.7459
Co2 Co 0.2455 0.6722 0.2459
Ge1 Ge 0.7534 0.3484 0.2496
Ge2 Ge 0.7534 0.6516 0.7496
O1 O 0.0772 0.3730 0.2280
O2 O 0.0772 0.6270 0.7280
O3 O 0.3959 0.2119 0.0120
O4 O 0.3959 0.7881 0.5120
O5 O 0.6350 0.3682 0.7730
O6 O 0.6350 0.6318 0.2730
O7 O 0.9203 0.1780 0.4841
O8 O 0.9203 0.8220 0.9841
```

Principal peaks in the range 5° ≤ 2θ ≤ 70°, low angle first:
2θ/deg	d/Å	I/Imax
15.50	5.716	59
23.33	3.813	100
28.67	3.113	33
32.76	2.734	32
35.07	2.559	28
35.99	2.495	20
37.29	2.411	30
46.65	1.947	27
56.63	1.625	21
64.37	1.447	15

No. 3
# TiV2O7
Computed XRD peak list, Cu Kα (weighted mean of Kα1 and Kα2). Input: a GGA+U-relaxed structure.
No peak broadening, texture or thermal motion is included.

Atomic structure:
```
data_TiV2O7
_chemical_formula_sum 'Ti4 V8 O28'
_cell_length_a 8.7375
_cell_length_b 8.7375
_cell_length_c 8.7375
_cell_angle_alpha 90.00
_cell_angle_beta 90.00
_cell_angle_gamma 90.00
_symmetry_space_group_name_H-M 'P 1'
_symmetry_Int_Tables_number 1
loop_
_symmetry_equiv_pos_as_xyz
'x,y,z'
loop_
_atom_site_label
_atom_site_type_symbol
_atom_site_fract_x
_atom_site_fract_y
_atom_site_fract_z
Ti1 Ti 0.0000 0.0000 0.0000
Ti2 Ti 0.0000 0.5000 0.5000
Ti3 Ti 0.5000 0.0000 0.5000
Ti4 Ti 0.5000 0.5000 0.0000
V1 V 0.1179 0.6179 0.8821
V2 V 0.1179 0.8821 0.3821
V3 V 0.3821 0.1179 0.8821
V4 V 0.3821 0.3821 0.3821
V5 V 0.6179 0.6179 0.6179
V6 V 0.6179 0.8821 0.1179
V7 V 0.8821 0.1179 0.6179
V8 V 0.8821 0.3821 0.1179
O1 O 0.0000 0.0000 0.5000
O2 O 0.0000 0.5000 0.0000
O3 O 0.0632 0.6948 0.4086
O4 O 0.0632 0.8052 0.9086
O5 O 0.0914 0.5632 0.6948
O6 O 0.0914 0.9368 0.1948
O7 O 0.1948 0.0914 0.9368
O8 O 0.1948 0.4086 0.4368
O9 O 0.3052 0.5914 0.9368
O10 O 0.3052 0.9086 0.4368
O11 O 0.4086 0.0632 0.6948
O12 O 0.4086 0.4368 0.1948
O13 O 0.4368 0.1948 0.4086
O14 O 0.4368 0.3052 0.9086
O15 O 0.5000 0.0000 0.0000
O16 O 0.5000 0.5000 0.5000
O17 O 0.5632 0.6948 0.0914
O18 O 0.5632 0.8052 0.5914
O19 O 0.5914 0.5632 0.8052
O20 O 0.5914 0.9368 0.3052
O21 O 0.6948 0.0914 0.5632
O22 O 0.6948 0.4086 0.0632
O23 O 0.8052 0.5914 0.5632
O24 O 0.8052 0.9086 0.0632
O25 O 0.9086 0.0632 0.8052
O26 O 0.9086 0.4368 0.3052
O27 O 0.9368 0.1948 0.0914
O28 O 0.9368 0.3052 0.5914
```

Principal peaks in the range 5° ≤ 2θ ≤ 70°, low angle first:
2θ/deg	d/Å	I/Imax
20.33	4.369	59
22.76	3.908	100
24.96	3.567	81
28.90	3.089	13
34.03	2.634	15
37.10	2.423	18
42.67	2.119	14
47.70	1.907	18
54.58	1.682	17
59.88	1.545	16

No. 4
# Li3Mn2Si2O8
Computed XRD peak list, Cu Kα (weighted mean of Kα1 and Kα2). Input: a GGA+U-relaxed structure.
No peak broadening, texture or thermal motion is included.

Atomic structure:
```
data_Li3Mn2Si2O8
_chemical_formula_sum 'Li6 Mn4 Si4 O16'
_cell_length_a 6.7349
_cell_length_b 7.2191
_cell_length_c 7.2916
_cell_angle_alpha 97.59
_cell_angle_beta 91.60
_cell_angle_gamma 90.28
_symmetry_space_group_name_H-M 'P 1'
_symmetry_Int_Tables_number 1
loop_
_symmetry_equiv_pos_as_xyz
'x,y,z'
loop_
_atom_site_label
_atom_site_type_symbol
_atom_site_fract_x
_atom_site_fract_y
_atom_site_fract_z
Li1 Li 0.0000 0.0000 0.0000
Li2 Li 0.0034 0.5035 0.5243
Li3 Li 0.2562 0.2173 0.7849
Li4 Li 0.2890 0.7511 0.2883
Li5 Li 0.7603 0.1554 0.3432
Li6 Li 0.7883 0.6876 0.8441
Mn1 Mn 0.2588 0.1819 0.3652
Mn2 Mn 0.2928 0.6327 0.8217
Mn3 Mn 0.7320 0.2568 0.7920
Mn4 Mn 0.7678 0.7095 0.2416
Si1 Si 0.0103 0.9139 0.5921
Si2 Si 0.0166 0.4303 0.1104
Si3 Si 0.5169 0.9890 0.0310
Si4 Si 0.5334 0.5195 0.5334
O1 O 0.0135 0.2275 0.1891
O2 O 0.0248 0.7262 0.7009
O3 O 0.0381 0.5979 0.2878
O4 O 0.1838 0.4418 0.9559
O5 O 0.2102 0.9492 0.4813
O6 O 0.3159 0.4180 0.5828
O7 O 0.3255 0.8343 0.0223
O8 O 0.4995 0.1081 0.8573
O9 O 0.5043 0.1226 0.2277
O10 O 0.5227 0.6040 0.3385
O11 O 0.5398 0.6817 0.7164
O12 O 0.7275 0.3829 0.5487
O13 O 0.7362 0.8820 0.0442
O14 O 0.7976 0.4904 0.0226
O15 O 0.8155 0.9036 0.4427
O16 O 0.9837 0.0947 0.7551
```

Principal peaks in the range 5° ≤ 2θ ≤ 70°, low angle first:
2θ/deg	d/Å	I/Imax
20.80	4.272	90
21.11	4.208	77
22.55	3.943	67
23.09	3.851	100
31.00	2.885	35
31.44	2.846	54
32.82	2.729	55
37.65	2.389	65
54.52	1.683	24
57.19	1.611	24

No. 5
# Mg6CoBO8
Computed XRD peak list, Cu Kα (weighted mean of Kα1 and Kα2). Input: a GGA+U-relaxed structure.
No peak broadening, texture or thermal motion is included.

Atomic structure:
```
data_Mg6CoBO8
_chemical_formula_sum 'Mg6 Co1 B1 O8'
_cell_length_a 4.2404
_cell_length_b 4.2404
_cell_length_c 8.4290
_cell_angle_alpha 90.00
_cell_angle_beta 90.00
_cell_angle_gamma 90.00
_symmetry_space_group_name_H-M 'P 1'
_symmetry_Int_Tables_number 1
loop_
_symmetry_equiv_pos_as_xyz
'x,y,z'
loop_
_atom_site_label
_atom_site_type_symbol
_atom_site_fract_x
_atom_site_fract_y
_atom_site_fract_z
Mg1 Mg 0.0000 0.0000 0.0000
Mg2 Mg 0.0000 0.0000 0.5000
Mg3 Mg 0.0000 0.5000 0.2407
Mg4 Mg 0.0000 0.5000 0.7593
Mg5 Mg 0.5000 0.0000 0.2407
Mg6 Mg 0.5000 0.0000 0.7593
Co1 Co 0.5000 0.5000 0.5000
B1 B 0.5000 0.5000 0.0000
O1 O 0.0000 0.0000 0.2509
O2 O 0.0000 0.0000 0.7491
O3 O 0.0000 0.5000 0.0000
O4 O 0.0000 0.5000 0.5000
O5 O 0.5000 0.0000 0.0000
O6 O 0.5000 0.0000 0.5000
O7 O 0.5000 0.5000 0.1690
O8 O 0.5000 0.5000 0.8310
```

Principal peaks in the range 5° ≤ 2θ ≤ 70°, low angle first:
2θ/deg	d/Å	I/Imax
10.50	8.429	10
23.48	3.788	10
31.85	2.810	10
36.79	2.443	29
38.43	2.342	17
42.64	2.120	100
42.92	2.107	36
58.74	1.572	8
61.89	1.499	28
62.10	1.495	42

No. 6
# MnCoO4
Computed XRD peak list, Cu Kα (weighted mean of Kα1 and Kα2). Input: a GGA+U-relaxed structure.
No peak broadening, texture or thermal motion is included.

Atomic structure:
```
data_MnCoO4
_chemical_formula_sum 'Mn1 Co1 O4'
_cell_length_a 4.9748
_cell_length_b 2.8945
_cell_length_c 5.0160
_cell_angle_alpha 90.00
_cell_angle_beta 109.67
_cell_angle_gamma 90.00
_symmetry_space_group_name_H-M 'P 1'
_symmetry_Int_Tables_number 1
loop_
_symmetry_equiv_pos_as_xyz
'x,y,z'
loop_
_atom_site_label
_atom_site_type_symbol
_atom_site_fract_x
_atom_site_fract_y
_atom_site_fract_z
Mn1 Mn 0.0000 0.0000 0.0000
Co1 Co 0.5000 0.5000 0.0000
O1 O 0.2391 0.5000 0.2016
O2 O 0.2725 0.0000 0.7995
O3 O 0.7275 0.0000 0.2005
O4 O 0.7609 0.5000 0.7984
```

Principal peaks in the range 5° ≤ 2θ ≤ 70°, low angle first:
2θ/deg	d/Å	I/Imax
18.79	4.723	100
36.49	2.462	22
36.64	2.453	11
38.11	2.362	8
44.39	2.041	46
48.46	1.879	6
58.62	1.575	6
58.77	1.571	10
64.36	1.448	12
64.80	1.439	12

No. 7
# Ti3Co2P6WO24
Computed XRD peak list, Cu Kα (weighted mean of Kα1 and Kα2). Input: a GGA+U-relaxed structure.
No peak broadening, texture or thermal motion is included.

Atomic structure:
```
data_Ti3Co2P6WO24
_chemical_formula_sum 'Ti3 Co2 P6 W1 O24'
_cell_length_a 8.6458
_cell_length_b 8.6458
_cell_length_c 8.6458
_cell_angle_alpha 60.48
_cell_angle_beta 60.48
_cell_angle_gamma 60.48
_symmetry_space_group_name_H-M 'P 1'
_symmetry_Int_Tables_number 1
loop_
_symmetry_equiv_pos_as_xyz
'x,y,z'
loop_
_atom_site_label
_atom_site_type_symbol
_atom_site_fract_x
_atom_site_fract_y
_atom_site_fract_z
Ti1 Ti 0.0000 0.0000 0.0000
Ti2 Ti 0.2134 0.2134 0.2134
Ti3 Ti 0.7123 0.7123 0.7123
Co1 Co 0.3512 0.3512 0.3512
Co2 Co 0.8566 0.8566 0.8566
P1 P 0.1000 0.8181 0.3985
P2 P 0.3107 0.6083 0.9020
P3 P 0.3985 0.1000 0.8181
P4 P 0.6083 0.9020 0.3107
P5 P 0.8181 0.3985 0.1000
P6 P 0.9020 0.3107 0.6083
W1 W 0.4954 0.4954 0.4954
O1 O 0.0321 0.8704 0.2394
O2 O 0.0963 0.2974 0.4466
O3 O 0.1187 0.7717 0.9227
O4 O 0.1673 0.9757 0.3553
O5 O 0.2394 0.0321 0.8704
O6 O 0.2547 0.6234 0.4062
O7 O 0.2974 0.4466 0.0963
O8 O 0.3390 0.5481 0.7508
O9 O 0.3553 0.1673 0.9757
O10 O 0.4062 0.2547 0.6234
O11 O 0.4466 0.0963 0.2974
O12 O 0.4755 0.6696 0.8533
O13 O 0.5481 0.7508 0.3390
O14 O 0.5916 0.9378 0.8063
O15 O 0.6234 0.4062 0.2547
O16 O 0.6696 0.8533 0.4755
O17 O 0.7508 0.3390 0.5481
O18 O 0.7717 0.9227 0.1187
O19 O 0.8063 0.5916 0.9378
O20 O 0.8533 0.4755 0.6696
O21 O 0.8704 0.2394 0.0321
O22 O 0.9227 0.1187 0.7717
O23 O 0.9378 0.8063 0.5916
O24 O 0.9757 0.3553 0.1673
```

Principal peaks in the range 5° ≤ 2θ ≤ 70°, low angle first:
2θ/deg	d/Å	I/Imax
12.46	7.102	28
14.44	6.136	21
20.39	4.355	100
20.55	4.323	24
24.03	3.703	88
32.73	2.736	67
35.73	2.513	48
46.93	1.936	33
49.22	1.851	24
55.87	1.646	29

No. 8
# Li3Mn2SnO6
Computed XRD peak list, Cu Kα (weighted mean of Kα1 and Kα2). Input: a GGA+U-relaxed structure.
No peak broadening, texture or thermal motion is included.

Atomic structure:
```
data_Li3Mn2SnO6
_chemical_formula_sum 'Li6 Mn4 Sn2 O12'
_cell_length_a 6.0858
_cell_length_b 6.1605
_cell_length_c 6.9823
_cell_angle_alpha 77.51
_cell_angle_beta 78.22
_cell_angle_gamma 89.96
_symmetry_space_group_name_H-M 'P 1'
_symmetry_Int_Tables_number 1
loop_
_symmetry_equiv_pos_as_xyz
'x,y,z'
loop_
_atom_site_label
_atom_site_type_symbol
_atom_site_fract_x
_atom_site_fract_y
_atom_site_fract_z
Li1 Li 0.0000 0.0000 0.0000
Li2 Li 0.0000 0.5000 0.0000
Li3 Li 0.3120 0.3338 0.6644
Li4 Li 0.3247 0.8359 0.6680
Li5 Li 0.6753 0.1641 0.3320
Li6 Li 0.6880 0.6662 0.3356
Mn1 Mn 0.1523 0.1671 0.3372
Mn2 Mn 0.1553 0.6692 0.3444
Mn3 Mn 0.8447 0.3308 0.6556
Mn4 Mn 0.8477 0.8329 0.6628
Sn1 Sn 0.5000 0.0000 0.0000
Sn2 Sn 0.5000 0.5000 0.0000
O1 O 0.0704 0.6014 0.6698
O2 O 0.0727 0.0598 0.6704
O3 O 0.2641 0.7488 0.0013
O4 O 0.2699 0.2571 0.9757
O5 O 0.3981 0.4010 0.3169
O6 O 0.3997 0.9473 0.3108
O7 O 0.6003 0.0527 0.6892
O8 O 0.6019 0.5990 0.6831
O9 O 0.7301 0.7429 0.0243
O10 O 0.7359 0.2512 0.9987
O11 O 0.9273 0.9402 0.3296
O12 O 0.9296 0.3986 0.3302
```

Principal peaks in the range 5° ≤ 2θ ≤ 70°, low angle first:
2θ/deg	d/Å	I/Imax
13.28	6.666	13
17.78	4.988	100
33.45	2.679	20
34.08	2.630	33
35.38	2.537	8
35.53	2.527	15
40.60	2.222	26
41.73	2.165	48
55.31	1.661	14
60.07	1.540	16